[1]
Starting from a crystal structure in the Materials Project, relaxed with GGA-PBE, the powder XRD pattern of TiMn2P12 was calculated for a wavelength of 1.5418 Å.
Kinematic intensities with the Lorentz-polarization factor, no thermal factor.

Cell and atoms:
a b c (Å): 16.050 5.800 10.651
angles (deg): 90.00 115.20 90.00
Space group C2/c (No. 15)
One atom of each set of equivalent atoms:
Ti 0.000 0.196 0.250 (multiplicity 4)
Mn 0.183 0.310 0.046 (multiplicity 8)
P 0.033 0.451 0.928 (multiplicity 8)
P 0.062 0.147 0.667 (multiplicity 8)
P 0.117 0.049 0.506 (multiplicity 8)
P 0.156 0.324 0.243 (multiplicity 8)
P 0.178 0.327 0.835 (multiplicity 8)
P 0.226 0.321 0.575 (multiplicity 8)

Largest 10 diffraction maxima, in order of falling intensity, 2θ = 10–90°:
d (Å)	two_theta	I (rel.)
2.575	34.84	100
1.780	51.32	78
1.796	50.85	64
2.565	34.98	45
2.789	32.10	44
2.597	34.54	42
1.700	53.93	34
2.707	33.09	30
2.693	33.26	30
3.403	26.19	30

=====

[2]
Starting from a crystal structure in the Materials Project, relaxed with GGA-PBE, the powder XRD pattern of Nd2MgCu2 was calculated for a wavelength of 1.5418 Å.
Kinematic intensities with the Lorentz-polarization factor, no thermal factor.

Cell and atoms:
a b c (Å): 7.842 7.842 3.806
angles (deg): 90.00 90.00 90.00
Space group P4/mbm (No. 127)
One atom of each set of equivalent atoms:
Nd 0.172 0.328 0.000 (multiplicity 4)
Mg 0.000 0.000 0.500 (multiplicity 2)
Cu 0.121 0.621 0.500 (multiplicity 4)

Largest 10 diffraction maxima, in order of falling intensity, 2θ = 10–90°:
d (Å)	two_theta	I (rel.)
2.579	34.78	100
2.480	36.22	24
1.903	47.81	24
2.731	32.79	23
5.545	15.98	22
3.507	25.40	16
1.701	53.89	15
3.921	22.68	12
1.360	69.05	10
1.510	61.41	10

=====

[3]
Starting from a crystal structure in the Materials Project, relaxed with GGA-PBE, the powder XRD pattern of ErTe2 was calculated for a wavelength of 1.5418 Å.
Kinematic intensities with the Lorentz-polarization factor, no thermal factor.

Cell and atoms:
a b c (Å): 4.425 4.425 8.847
angles (deg): 90.00 90.00 90.00
Space group P4/nmm (No. 129, origin choice 2)
One atom of each set of equivalent atoms:
Er 0.250 0.250 0.229 (multiplicity 2)
Te 0.250 0.250 0.873 (multiplicity 2)
Te 0.250 0.750 0.500 (multiplicity 2)

Largest 10 diffraction maxima, in order of falling intensity, 2θ = 10–90°:
d (Å)	two_theta	I (rel.)
2.950	30.30	100
2.555	35.13	76
2.213	40.78	55
2.454	36.62	46
1.643	55.96	39
3.129	28.53	32
1.334	70.60	26
1.382	67.80	26
1.770	51.65	25
1.564	59.04	22